The following is a theoretical powder X-ray diffraction pattern of Ba3Zn3Cd. It was derived from a structure optimized by DFT (GGA-PBE), using Cu Kα (weighted mean of Kα1 and Kα2).

Crystal structure
Unit cell a=4.8542 b=12.2517 c=15.4281 alpha=90.00 beta=90.00 gamma=90.00
Space group Cmcm (No. 63)
Asymmetric unit:
Ba (0.0000, 0.0136, 0.2500)
Ba (0.0000, 0.2705, 0.6033)
Zn (0.0000, 0.3178, 0.2500)
Zn (0.0000, 0.4399, 0.0842)
Cd (0.0000, 0.0000, 0.0000)

Main lines, by angle (2θ = 10–80°):
- hkl 1 1 3, 2θ = 26.27°, I 87.7
- hkl 0 2 4, 2θ = 27.32°, I 72.9
- hkl 1 3 0, 2θ = 28.56°, I 60.9
- hkl 0 4 0, 2θ = 29.16°, I 100.0
- hkl 1 1 4, 2θ = 30.49°, I 83.5
- hkl 1 3 3, 2θ = 33.56°, I 77.2
- hkl 2 0 0, 2θ = 37.03°, I 98.4
- hkl 2 4 0, 2θ = 47.81°, I 45.2